(1)
Sm2Ho7Sc3: theoretical XRD peak list (λ = 1.5418 Å (Cu Kα)), based on a structure optimized by DFT (GGA-PBE).
No peak broadening, texture or thermal motion is included.

Main lines, in order of rising 2θ (2θ from 15° to 90°):
| Position (°2θ) | d/Å | I (rel.) | index |
| --- | --- | --- | --- |
| 23.12 | 3.847 | 19.9 | 1 7 0 |
| 25.28 | 3.523 | 17.1 | 0 0 1 |
| 27.10 | 3.290 | 18.0 | 0 4 1 |
| 29.13 | 3.065 | 22.5 | 0 12 0 |
| 31.08 | 2.877 | 52.6 | 1 11 0 |
| 31.69 | 2.824 | 56.5 | 2 0 0 |
| 32.33 | 2.769 | 42.5 | 1 5 1 |
| 34.52 | 2.598 | 100.0 | 1 7 1 |
| 58.28 | 1.583 | 22.0 | 3 7 1 |
| 66.20 | 1.412 | 17.1 | 4 0 0 |

Cell lengths 5.6472, 36.7829, 3.5231 Å; angles 90.00, 90.00, 90.00 degrees
Space group Cmmm (No. 65)
Symmetry-distinct sites (fractional):
Sm 0.0000 0.1749 0.0000
Ho 0.0000 0.0000 0.0000
Ho 0.0000 0.0894 0.5000
Ho 0.0000 0.2729 0.0000
Ho 0.0000 0.4296 0.0000
Sc 0.0000 0.3522 0.5000
Sc 0.0000 0.5000 0.5000

***

(2)
Pr6Ir2RuBr3: theoretical XRD peak list (λ = 1.5418 Å (Cu Kα)), based on a structure optimized by DFT (GGA-PBE).
No peak broadening, texture or thermal motion is included.

Main lines, in order of rising 2θ (2θ from 15° to 90°):
| Position (°2θ) | d/Å | I (rel.) | index |
| --- | --- | --- | --- |
| 29.01 | 3.078 | 100.0 | 1 3 1 |
| 36.45 | 2.465 | 17.2 | 1 3 2 |
| 39.42 | 2.286 | 30.9 | 2 0 2 |
| 43.48 | 2.081 | 37.0 | 0 6 0 |
| 45.05 | 2.012 | 7.3 | 3 3 0 |
| 49.35 | 1.847 | 11.4 | 2 0 3 |
| 53.12 | 1.724 | 12.2 | 2 6 -2 |
| 65.19 | 1.431 | 7.5 | 3 3 -5 |
| 70.99 | 1.328 | 15.3 | 5 3 -3 |
| 77.07 | 1.237 | 8.6 | 4 6 -4 |

Cell lengths 7.2101, 12.4885, 8.2415 Å; angles 90.00, 106.94, 90.00 degrees
Space group C2/m (No. 12)
Symmetry-distinct sites (fractional):
Pr 0.2297 0.1645 0.1960
Pr 0.2364 0.5000 0.1964
Ir 0.0000 0.3333 0.0000
Ru 0.0000 0.0000 0.0000
Br 0.0000 0.1650 0.5000
Br 0.0000 0.5000 0.5000

***

(3)
SiH6N2F6: theoretical XRD peak list (λ = 1.5418 Å (Cu Kα)), based on a structure optimized by DFT (GGA-PBE).
No peak broadening, texture or thermal motion is included.

Main lines, in order of rising 2θ (2θ from 15° to 90°):
| Position (°2θ) | d/Å | I (rel.) | index |
| --- | --- | --- | --- |
| 19.12 | 4.642 | 100.0 | 1 1 1 |
| 20.47 | 4.339 | 49.1 | 0 2 0 |
| 22.19 | 4.006 | 61.3 | 0 0 2 |
| 23.57 | 3.775 | 41.9 | 2 0 0 |
| 30.37 | 2.943 | 20.1 | 0 2 2 |
| 33.39 | 2.683 | 37.9 | 2 2 1 |
| 39.63 | 2.274 | 21.8 | 0 2 3 |
| 41.63 | 2.169 | 18.7 | 0 4 0 |
| 43.74 | 2.069 | 21.8 | 3 1 2 |
| 53.41 | 1.716 | 16.4 | 3 3 2 |

Cell lengths 7.5494, 8.6773, 8.0115 Å; angles 90.00, 90.00, 90.00 degrees
Space group Pbca (No. 61)
Symmetry-distinct sites (fractional):
Si 0.0000 0.0000 0.0000
H 0.0078 0.1131 0.3665
H 0.0861 0.6379 0.9419
H 0.1410 0.1075 0.5439
N 0.0148 0.0821 0.4938
F 0.0331 0.6228 0.3327
F 0.1545 0.6023 0.6121
F 0.1616 0.1199 0.9272

***

(4)
CaZr4P6O24: theoretical XRD peak list (λ = 1.5418 Å (Cu Kα)), based on a structure optimized by DFT (GGA-PBE).
No peak broadening, texture or thermal motion is included.

Main lines, in order of rising 2θ (2θ from 15° to 90°):
| Position (°2θ) | d/Å | I (rel.) | index |
| --- | --- | --- | --- |
| 19.31 | 4.598 | 81.3 | 1 0 4 |
| 19.82 | 4.480 | 100.0 | 1 1 0 |
| 23.04 | 3.861 | 91.3 | 2 -1 3 |
| 27.80 | 3.209 | 56.1 | 0 2 4 |
| 30.82 | 2.902 | 88.6 | 2 -1 6 |
| 34.38 | 2.609 | 26.2 | 2 1 4 |
| 34.68 | 2.587 | 40.1 | 3 0 0 |
| 44.29 | 2.045 | 26.0 | 3 -2 8 |
| 47.08 | 1.930 | 25.9 | 2 2 6 |
| 54.16 | 1.693 | 31.8 | 1 4 0 |

Cell lengths 8.9604, 8.9604, 22.8291 Å; angles 90.00, 90.00, 120.00 degrees
Space group R-3 (No. 148, hexagonal axes)
Symmetry-distinct sites (fractional):
Ca 0.0000 0.0000 0.0000
Zr 0.0000 0.0000 0.1487
Zr 0.0000 0.0000 0.3617
P 0.0109 0.2932 0.7469
O 0.0070 0.1957 0.8034
O 0.0189 0.8337 0.9174
O 0.0340 0.2103 0.4105
O 0.0361 0.2065 0.6929